Entry 1:
Diffraction record for CuGe3. The powder diffractogram is computed, not measured: it uses a cell relaxed with PBE and Cu Kα.
Lines closer than 0.1° are merged.

Most intense lines, 2θ = 10–90°, sorted by position:
- hkl 2 0 0, d 2.525, I = 24
- hkl 0 0 2, d 2.349, I = 26
- hkl 2 0 1, d 2.224, I = 100
- hkl 2 0 2, d 1.720, I = 15
- hkl 3 0 1, d 1.585, I = 1
- hkl 2 2 0, d 1.458, I = 16
- hkl 2 0 3, d 1.331, I = 18
- hkl 4 0 0, d 1.263, I = 2
- hkl 2 2 2, d 1.239, I = 19
- hkl 4 0 1, d 1.219, I = 13
- hkl 0 0 4, d 1.175, I = 3
- hkl 4 0 2, d 1.112, I = 3

Crystal structure
```
8
Lattice="5.832 0.000 0.000 -2.916 5.050 0.000 0.000 0.000 4.699" Properties=species:S:1:pos:R:3 pbc="T T T"
Cu 0.000 3.367 1.175
Cu 2.916 1.683 3.524
Ge 0.000 1.752 3.524
Ge -1.399 4.174 3.524
Ge 1.517 0.876 1.175
Ge 1.399 4.174 3.524
Ge 4.314 0.876 1.175
Ge 2.916 3.298 1.175
```

=====

Entry 2:
Diffraction record for La3Zn. The powder diffractogram is computed, not measured: it uses a cell relaxed with PBE and Cu Kα.
Lines closer than 0.1° are merged.

Most intense lines, 2θ = 10–90°, sorted by position:
- hkl 1 0 1, d 4.397, I = 5
- hkl 1 1 2, d 2.854, I = 100
- hkl 0 0 4, d 2.544, I = 18
- hkl 2 0 0, d 2.438, I = 32
- hkl 2 0 4, d 1.760, I = 24
- hkl 2 2 0, d 1.724, I = 11
- hkl 1 1 6, d 1.522, I = 15
- hkl 3 1 2, d 1.475, I = 26
- hkl 2 2 4, d 1.427, I = 12
- hkl 3 1 6, d 1.141, I = 11
- hkl 2 0 8, d 1.128, I = 6
- hkl 3 3 2, d 1.121, I = 5

Crystal structure
```
8
Lattice="4.875 0.000 0.000 0.000 4.875 0.000 0.000 0.000 10.177" Properties=species:S:1:pos:R:3 pbc="T T T"
La 0.000 0.000 0.000
La 0.000 2.438 2.544
La 0.000 2.438 7.633
La 2.438 0.000 2.544
La 2.438 0.000 7.633
La 2.438 2.438 5.089
Zn 0.000 0.000 5.089
Zn 2.438 2.438 0.000
```

=====

Entry 3:
Diffraction record for V2GaN. The powder diffractogram is computed, not measured: it uses a cell relaxed with PBE and Cu Kα.
Lines closer than 0.1° are merged.

Most intense lines, 2θ = 10–90°, sorted by position:
- hkl 0 0 4, d 3.212, I = 2
- hkl 1 0 0, d 2.519, I = 19
- hkl 1 0 1, d 2.471, I = 2
- hkl 1 0 2, d 2.345, I = 4
- hkl 1 0 3, d 2.171, I = 100
- hkl 0 0 6, d 2.141, I = 18
- hkl 1 0 6, d 1.631, I = 16
- hkl 1 1 0, d 1.454, I = 19
- hkl 2 0 0, d 1.259, I = 2
- hkl 1 0 9, d 1.242, I = 14
- hkl 2 0 3, d 1.208, I = 13
- hkl 1 1 6, d 1.203, I = 15

Crystal structure
```
8
Lattice="2.908 0.000 0.000 -1.454 2.519 0.000 0.000 0.000 12.848" Properties=species:S:1:pos:R:3 pbc="T T T"
V 0.000 1.679 1.099
V 0.000 1.679 5.324
V 1.454 0.840 7.523
V 1.454 0.840 11.748
Ga 0.000 1.679 9.636
Ga 1.454 0.840 3.212
N 0.000 0.000 0.000
N 0.000 0.000 6.424
```